Structure and theoretical XRD peak list of K8MgMn4O16 (DFT lattice parameters and positions (GGA+U); λ = 1.5418 Å (Cu Kα)).

Cell and atoms:
```
data_K8MgMn4O16
_chemical_formula_sum 'K8 Mg1 Mn4 O16'
_space_group_name_H-M_alt 'P 1'
_space_group_IT_number 1
_cell_length_a 5.8607
_cell_length_b 8.1146
_cell_length_c 10.9938
_cell_angle_alpha 88.24
_cell_angle_beta 87.48
_cell_angle_gamma 88.87
loop_
_space_group_symop_operation_xyz
'x,y,z'
loop_
_atom_site_label
_atom_site_type_symbol
_atom_site_fract_x
_atom_site_fract_y
_atom_site_fract_z
K1 K 0.0000 0.0000 0.0000
K2 K 0.0076 0.2435 0.6640
K3 K 0.0151 0.7423 0.6450
K4 K 0.0348 0.4426 0.2944
K5 K 0.4861 0.0477 0.5028
K6 K 0.4976 0.7940 0.2367
K7 K 0.5108 0.4511 0.7634
K8 K 0.5214 0.2556 0.1145
Mg1 Mg 0.5888 0.7060 0.9624
Mn1 Mn 0.0646 0.5047 0.9778
Mn2 Mn 0.4913 0.9768 0.8285
Mn3 Mn 0.5405 0.5105 0.4654
Mn4 Mn 0.9994 0.9849 0.3393
O1 O 0.0002 0.3266 0.0542
O2 O 0.0356 0.4908 0.8254
O3 O 0.0372 0.7863 0.3138
O4 O 0.2258 0.0907 0.2872
O5 O 0.2306 0.9964 0.7704
O6 O 0.3540 0.5444 0.0037
O7 O 0.3645 0.3765 0.5369
O8 O 0.4524 0.7034 0.4866
O9 O 0.4765 0.9385 0.9894
O10 O 0.5502 0.4758 0.3164
O11 O 0.6185 0.7867 0.7895
O12 O 0.6560 0.1410 0.7951
O13 O 0.7691 0.0531 0.2682
O14 O 0.7964 0.4835 0.5240
O15 O 0.8832 0.6614 0.0348
O16 O 0.9636 0.0120 0.4894
```

Principal peaks in the range 2θ = 5–70°, in order of falling intensity:
2θ 28.2, rel. 100.0, hkl 1 0 3; 2θ 30.5, rel. 77.7, hkl 2 0 0; 2θ 27.4, rel. 57.0, hkl 1 2 1; 2θ 27.7, rel. 47.7, hkl 0 2 -2; 2θ 29.3, rel. 43.6, hkl 1 0 -3; 2θ 20.6, rel. 38.5, hkl -1 1 1; 2θ 21.9, rel. 34.1, hkl 0 2 0; 2θ 19.3, rel. 22.2, hkl 0 1 2


Structure and theoretical XRD peak list of KMgMn16O32 (DFT lattice parameters and positions (GGA+U); λ = 1.5418 Å (Cu Kα)).

Cell and atoms:
```
data_KMgMn16O32
_chemical_formula_sum 'K1 Mg1 Mn16 O32'
_space_group_name_H-M_alt 'P 1'
_space_group_IT_number 1
_cell_length_a 5.9235
_cell_length_b 10.0367
_cell_length_c 10.2436
_cell_angle_alpha 90.24
_cell_angle_beta 90.04
_cell_angle_gamma 90.07
loop_
_space_group_symop_operation_xyz
'x,y,z'
loop_
_atom_site_label
_atom_site_type_symbol
_atom_site_fract_x
_atom_site_fract_y
_atom_site_fract_z
K1 K 0.0000 0.0000 0.0000
Mg1 Mg 0.9950 0.5002 0.0003
Mn1 Mn 0.9997 0.3200 0.8322
Mn2 Mn 0.2473 0.6603 0.8282
Mn3 Mn 0.2480 0.3399 0.1721
Mn4 Mn 0.2533 0.1650 0.6472
Mn5 Mn 0.2526 0.8354 0.3531
Mn6 Mn 0.4984 0.1499 0.3395
Mn7 Mn 0.4982 0.8500 0.6608
Mn8 Mn 0.4989 0.3299 0.8569
Mn9 Mn 0.4987 0.6705 0.1435
Mn10 Mn 0.7450 0.6600 0.8275
Mn11 Mn 0.7457 0.3401 0.1728
Mn12 Mn 0.7481 0.8358 0.3528
Mn13 Mn 0.7487 0.1643 0.6478
Mn14 Mn 0.9986 0.1505 0.3410
Mn15 Mn 0.9992 0.6805 0.1680
Mn16 Mn 0.9986 0.8495 0.6593
O1 O 0.0002 0.7075 0.3509
O2 O 0.0005 0.9586 0.3462
O3 O 0.0009 0.0416 0.6545
O4 O 0.0008 0.2930 0.6496
O5 O 0.2259 0.4642 0.8537
O6 O 0.2271 0.5368 0.1468
O7 O 0.2394 0.8041 0.1648
O8 O 0.2412 0.1973 0.8359
O9 O 0.2474 0.1489 0.2142
O10 O 0.2476 0.8511 0.7862
O11 O 0.2514 0.1683 0.4590
O12 O 0.2510 0.8317 0.5414
O13 O 0.4963 0.6588 0.7037
O14 O 0.4974 0.3244 0.0491
O15 O 0.4971 0.3412 0.2967
O16 O 0.4973 0.6756 0.9515
O17 O 0.4999 0.0425 0.6579
O18 O 0.5004 0.7072 0.3370
O19 O 0.4998 0.9577 0.3428
O20 O 0.5013 0.2930 0.6634
O21 O 0.7464 0.8326 0.5414
O22 O 0.7467 0.1675 0.4590
O23 O 0.7487 0.1494 0.2143
O24 O 0.7490 0.8504 0.7861
O25 O 0.7642 0.8066 0.1657
O26 O 0.7647 0.4607 0.8528
O27 O 0.7665 0.1931 0.8345
O28 O 0.7655 0.5388 0.1477
O29 O 0.9963 0.6878 0.9563
O30 O 0.9967 0.3126 0.0442
O31 O 0.9969 0.6602 0.7047
O32 O 0.9977 0.3399 0.2956
```

Principal peaks in the range 2θ = 5–70°, in order of falling intensity:
2θ 12.3, rel. 100.0, hkl 0 1 1; 2θ 17.7, rel. 41.3, hkl 0 2 0; 2θ 17.3, rel. 35.4, hkl 0 0 2; 2θ 36.2, rel. 35.0, hkl 2 -1 2; 2θ 36.3, rel. 33.7, hkl 2 2 1; 2θ 28.0, rel. 28.7, hkl 0 3 -1; 2θ 27.6, rel. 28.3, hkl 0 1 3; 2θ 48.3, rel. 15.3, hkl -2 4 1


Structure and theoretical XRD peak list of KMgMn16O32 (DFT lattice parameters and positions (GGA+U); λ = 1.5418 Å (Cu Kα)).

Cell and atoms:
```
data_KMgMn16O32
_chemical_formula_sum 'K1 Mg1 Mn16 O32'
_space_group_name_H-M_alt 'P 1 m 1'
_space_group_IT_number 6
_cell_length_a 9.6472
_cell_length_b 5.9352
_cell_length_c 10.2750
_cell_angle_alpha 90.00
_cell_angle_beta 91.13
_cell_angle_gamma 90.00
loop_
_space_group_symop_operation_xyz
'x,y,z'
'x,-y,z'
loop_
_atom_site_label
_atom_site_type_symbol
_atom_site_fract_x
_atom_site_fract_y
_atom_site_fract_z
K1 K 0.0000 0.0000 0.0000
Mg1 Mg 0.9749 0.5000 0.1784
Mn1 Mn 0.1455 0.0000 0.3614
Mn2 Mn 0.1617 0.5000 0.3753
Mn3 Mn 0.1695 0.2508 0.6749
Mn4 Mn 0.3283 0.5000 0.8791
Mn5 Mn 0.3302 0.0000 0.8779
Mn6 Mn 0.3388 0.2522 0.1862
Mn7 Mn 0.6534 0.2502 0.8620
Mn8 Mn 0.6625 0.5000 0.1719
Mn9 Mn 0.6716 0.0000 0.1676
Mn10 Mn 0.8212 0.2486 0.3828
Mn11 Mn 0.8402 0.0000 0.6878
Mn12 Mn 0.8437 0.5000 0.6912
O1 O 0.0414 0.0000 0.6826
O2 O 0.0424 0.5000 0.6835
O3 O 0.1350 0.2730 0.2314
O4 O 0.1774 0.2532 0.4891
O5 O 0.1963 0.2483 0.8677
O6 O 0.3014 0.5000 0.6912
O7 O 0.3016 0.0000 0.6901
O8 O 0.3096 0.0000 0.0666
O9 O 0.3131 0.5000 0.0666
O10 O 0.3373 0.0000 0.3089
O11 O 0.3485 0.5000 0.3135
O12 O 0.4554 0.2508 0.8785
O13 O 0.5366 0.2531 0.1731
O14 O 0.6459 0.0000 0.7377
O15 O 0.6489 0.5000 0.7389
O16 O 0.6805 0.5000 0.9824
O17 O 0.6825 0.0000 0.9814
O18 O 0.6906 0.5000 0.3626
O19 O 0.6924 0.0000 0.3570
O20 O 0.8127 0.2715 0.1819
O21 O 0.8185 0.2480 0.5689
O22 O 0.8476 0.2433 0.8180
O23 O 0.9488 0.0000 0.3746
O24 O 0.9549 0.5000 0.3768
```

Principal peaks in the range 2θ = 5–70°, in order of falling intensity:
2θ 18.4, rel. 100.0, hkl 2 0 0; 2θ 12.5, rel. 95.1, hkl 1 0 -1; 2θ 12.7, rel. 90.9, hkl 1 0 1; 2θ 17.3, rel. 81.7, hkl 0 0 2; 2θ 28.9, rel. 57.9, hkl 3 0 -1; 2θ 36.1, rel. 54.3, hkl 1 2 -2; 2θ 36.7, rel. 53.4, hkl 2 2 1; 2θ 27.8, rel. 51.2, hkl 1 0 3


Structure and theoretical XRD peak list of KMgMn16O32 (DFT lattice parameters and positions (GGA+U); λ = 1.5418 Å (Cu Kα)).

Cell and atoms:
```
data_KMgMn16O32
_chemical_formula_sum 'K1 Mg1 Mn16 O32'
_space_group_name_H-M_alt 'P 1'
_space_group_IT_number 1
_cell_length_a 5.9049
_cell_length_b 9.9881
_cell_length_c 10.2847
_cell_angle_alpha 90.41
_cell_angle_beta 90.01
_cell_angle_gamma 90.02
loop_
_space_group_symop_operation_xyz
'x,y,z'
loop_
_atom_site_label
_atom_site_type_symbol
_atom_site_fract_x
_atom_site_fract_y
_atom_site_fract_z
K1 K 0.0000 0.0000 0.0000
Mg1 Mg 0.4985 0.5046 0.9972
Mn1 Mn 0.0001 0.1551 0.3390
Mn2 Mn 0.0003 0.3404 0.8484
Mn3 Mn 0.0002 0.6625 0.1486
Mn4 Mn 0.0001 0.8540 0.6567
Mn5 Mn 0.2447 0.6661 0.8259
Mn6 Mn 0.2452 0.8376 0.3541
Mn7 Mn 0.2463 0.3416 0.1660
Mn8 Mn 0.2471 0.1716 0.6432
Mn9 Mn 0.5002 0.1522 0.3357
Mn10 Mn 0.5001 0.8556 0.6612
Mn11 Mn 0.5005 0.3096 0.8408
Mn12 Mn 0.5006 0.6985 0.1564
Mn13 Mn 0.7531 0.3416 0.1657
Mn14 Mn 0.7542 0.1715 0.6434
Mn15 Mn 0.7543 0.6661 0.8260
Mn16 Mn 0.7561 0.8378 0.3541
O1 O 0.0000 0.3183 0.0420
O2 O 0.9998 0.3463 0.2900
O3 O 0.9996 0.6629 0.7006
O4 O 0.9997 0.6840 0.9461
O5 O 0.0004 0.7131 0.3573
O6 O 0.0006 0.0479 0.6475
O7 O 0.0006 0.3032 0.6552
O8 O 0.0007 0.9636 0.3483
O9 O 0.2299 0.1997 0.8321
O10 O 0.2300 0.8063 0.1668
O11 O 0.2449 0.8579 0.7843
O12 O 0.2457 0.1496 0.2124
O13 O 0.2518 0.1774 0.4559
O14 O 0.2531 0.8374 0.5418
O15 O 0.2585 0.4670 0.8518
O16 O 0.2613 0.5372 0.1418
O17 O 0.4998 0.3147 0.0392
O18 O 0.5000 0.3424 0.2881
O19 O 0.4997 0.6663 0.7036
O20 O 0.4998 0.6926 0.9545
O21 O 0.5004 0.9618 0.3430
O22 O 0.5005 0.0495 0.6563
O23 O 0.5008 0.2970 0.6570
O24 O 0.5007 0.7126 0.3410
O25 O 0.7381 0.5375 0.1416
O26 O 0.7408 0.4667 0.8519
O27 O 0.7473 0.8372 0.5418
O28 O 0.7486 0.1776 0.4560
O29 O 0.7541 0.1490 0.2127
O30 O 0.7550 0.8581 0.7842
O31 O 0.7711 0.8067 0.1666
O32 O 0.7718 0.1995 0.8324
```

Principal peaks in the range 2θ = 5–70°, in order of falling intensity:
2θ 12.4, rel. 100.0, hkl 0 1 1; 2θ 17.8, rel. 43.8, hkl 0 2 0; 2θ 36.4, rel. 32.0, hkl 2 2 1; 2θ 17.2, rel. 31.8, hkl 0 0 2; 2θ 28.1, rel. 22.3, hkl 0 3 -1; 2θ 27.6, rel. 22.0, hkl 0 1 3; 2θ 36.2, rel. 21.4, hkl 2 1 -2; 2θ 57.8, rel. 15.2, hkl 2 2 5


Structure and theoretical XRD peak list of K8MgMn4O16 (DFT lattice parameters and positions (GGA+U); λ = 1.5418 Å (Cu Kα)).

Cell and atoms:
```
data_K8MgMn4O16
_chemical_formula_sum 'K8 Mg1 Mn4 O16'
_space_group_name_H-M_alt 'P 1'
_space_group_IT_number 1
_cell_length_a 5.8157
_cell_length_b 8.8104
_cell_length_c 10.4337
_cell_angle_alpha 86.69
_cell_angle_beta 87.73
_cell_angle_gamma 89.77
loop_
_space_group_symop_operation_xyz
'x,y,z'
loop_
_atom_site_label
_atom_site_type_symbol
_atom_site_fract_x
_atom_site_fract_y
_atom_site_fract_z
K1 K 0.0000 0.0000 0.0000
K2 K 0.0123 0.1188 0.5845
K3 K 0.0315 0.3885 0.8397
K4 K 0.4063 0.7759 0.7622
K5 K 0.4608 0.4502 0.4843
K6 K 0.4734 0.9341 0.4081
K7 K 0.5214 0.2507 0.1040
K8 K 0.9299 0.6539 0.3155
Mg1 Mg 0.8170 0.6789 0.9715
Mn1 Mn 0.4007 0.6840 0.1039
Mn2 Mn 0.5116 0.1967 0.7483
Mn3 Mn 0.9277 0.6832 0.6223
Mn4 Mn 0.9954 0.2154 0.2564
O1 O 0.0296 0.5082 0.5891
O2 O 0.0524 0.2660 0.1005
O3 O 0.1161 0.8212 0.5646
O4 O 0.1187 0.6964 0.0515
O5 O 0.2391 0.2032 0.3353
O6 O 0.2821 0.1042 0.8134
O7 O 0.4069 0.6764 0.2644
O8 O 0.4733 0.3824 0.7531
O9 O 0.5407 0.1515 0.5954
O10 O 0.5665 0.5387 0.0394
O11 O 0.5770 0.8300 0.0345
O12 O 0.6722 0.7133 0.5505
O13 O 0.7457 0.1498 0.8290
O14 O 0.8217 0.3441 0.3171
O15 O 0.8730 0.0441 0.2616
O16 O 0.8935 0.6934 0.7914
```

Principal peaks in the range 2θ = 5–70°, in order of falling intensity:
2θ 20.2, rel. 100.0, hkl 0 2 0; 2θ 29.5, rel. 57.0, hkl 1 0 3; 2θ 30.8, rel. 52.5, hkl 2 0 0; 2θ 26.2, rel. 42.1, hkl 1 2 1; 2θ 30.5, rel. 41.6, hkl 1 0 -3; 2θ 27.3, rel. 36.1, hkl 0 2 -2; 2θ 27.0, rel. 29.1, hkl 1 -2 1; 2θ 41.1, rel. 28.9, hkl 2 -2 2


Structure and theoretical XRD peak list of KMgMn2O4 (DFT lattice parameters and positions (GGA+U); λ = 1.5418 Å (Cu Kα)).

Cell and atoms:
```
data_KMgMn2O4
_chemical_formula_sum 'K1 Mg1 Mn2 O4'
_space_group_name_H-M_alt 'P -1'
_space_group_IT_number 2
_cell_length_a 3.2278
_cell_length_b 5.5134
_cell_length_c 5.6195
_cell_angle_alpha 106.12
_cell_angle_beta 92.86
_cell_angle_gamma 93.06
loop_
_space_group_symop_operation_xyz
'x,y,z'
'-x,-y,-z'
loop_
_atom_site_label
_atom_site_type_symbol
_atom_site_fract_x
_atom_site_fract_y
_atom_site_fract_z
K1 K 0.0000 0.0000 0.0000
Mg1 Mg 0.5000 0.0000 0.5000
Mn1 Mn 0.0000 0.5000 0.5000
Mn2 Mn 0.5000 0.5000 0.0000
O1 O 0.0055 0.2663 0.7145
O2 O 0.4600 0.7137 0.7065
```

Principal peaks in the range 2θ = 5–70°, in order of falling intensity:
2θ 40.6, rel. 100.0, hkl 0 2 -2; 2θ 37.1, rel. 69.7, hkl -1 1 1; 2θ 16.8, rel. 29.7, hkl 0 1 0; 2θ 33.3, rel. 24.0, hkl 0 0 2; 2θ 33.9, rel. 20.5, hkl 0 2 0; 2θ 34.4, rel. 19.4, hkl 1 -1 1; 2θ 34.5, rel. 19.2, hkl 1 1 -1; 2θ 56.5, rel. 16.9, hkl 1 -3 1


Structure and theoretical XRD peak list of KMgMn16O32 (DFT lattice parameters and positions (GGA+U); λ = 1.5418 Å (Cu Kα)).

Cell and atoms:
```
data_KMgMn16O32
_chemical_formula_sum 'K1 Mg1 Mn16 O32'
_space_group_name_H-M_alt 'P 1'
_space_group_IT_number 1
_cell_length_a 5.9010
_cell_length_b 9.6401
_cell_length_c 10.4508
_cell_angle_alpha 91.78
_cell_angle_beta 90.00
_cell_angle_gamma 90.06
loop_
_space_group_symop_operation_xyz
'x,y,z'
loop_
_atom_site_label
_atom_site_type_symbol
_atom_site_fract_x
_atom_site_fract_y
_atom_site_fract_z
K1 K 0.0000 0.0000 0.0000
Mg1 Mg 0.0029 0.0477 0.7478
Mn1 Mn 0.0012 0.1765 0.2672
Mn2 Mn 0.0013 0.3557 0.7759
Mn3 Mn 0.0008 0.6787 0.0770
Mn4 Mn 0.0011 0.8475 0.5747
Mn5 Mn 0.2499 0.6809 0.7710
Mn6 Mn 0.2514 0.3560 0.0857
Mn7 Mn 0.2506 0.8410 0.2821
Mn8 Mn 0.2539 0.1993 0.5635
Mn9 Mn 0.5012 0.1721 0.2632
Mn10 Mn 0.5014 0.3429 0.7832
Mn11 Mn 0.5006 0.6830 0.0745
Mn12 Mn 0.5011 0.8733 0.5932
Mn13 Mn 0.7503 0.1991 0.5637
Mn14 Mn 0.7506 0.3560 0.0857
Mn15 Mn 0.7505 0.8411 0.2822
Mn16 Mn 0.7515 0.6811 0.7711
O1 O 0.0004 0.7085 0.2643
O2 O 0.0010 0.3237 0.9654
O3 O 0.0011 0.3671 0.2084
O4 O 0.0009 0.6670 0.6440
O5 O 0.0008 0.7072 0.8913
O6 O 0.0008 0.9731 0.2721
O7 O 0.0019 0.0652 0.5590
O8 O 0.0019 0.3302 0.5849
O9 O 0.2257 0.8873 0.7137
O10 O 0.2326 0.2053 0.7557
O11 O 0.2496 0.1627 0.1405
O12 O 0.2503 0.8128 0.0921
O13 O 0.2502 0.8324 0.4639
O14 O 0.2509 0.4792 0.7830
O15 O 0.2521 0.5533 0.0701
O16 O 0.2540 0.2088 0.3801
O17 O 0.5010 0.3231 0.9679
O18 O 0.5012 0.3650 0.2083
O19 O 0.5010 0.6830 0.6492
O20 O 0.5005 0.7084 0.2628
O21 O 0.5007 0.7080 0.8901
O22 O 0.5009 0.9719 0.2773
O23 O 0.5017 0.0700 0.5625
O24 O 0.5024 0.3275 0.5923
O25 O 0.7488 0.2086 0.3802
O26 O 0.7492 0.5533 0.0699
O27 O 0.7509 0.4786 0.7831
O28 O 0.7513 0.8128 0.0924
O29 O 0.7510 0.8323 0.4644
O30 O 0.7522 0.1628 0.1404
O31 O 0.7724 0.2044 0.7553
O32 O 0.7788 0.8871 0.7145
```

Principal peaks in the range 2θ = 5–70°, in order of falling intensity:
2θ 18.4, rel. 100.0, hkl 0 2 0; 2θ 12.3, rel. 94.7, hkl 0 1 -1; 2θ 12.7, rel. 86.0, hkl 0 1 1; 2θ 17.0, rel. 73.2, hkl 0 0 2; 2θ 36.0, rel. 48.5, hkl 2 1 -2; 2θ 28.8, rel. 47.9, hkl 0 3 -1; 2θ 36.9, rel. 47.7, hkl 2 2 1; 2θ 34.3, rel. 43.6, hkl 0 0 4


Structure and theoretical XRD peak list of K3MgMnO4 (DFT lattice parameters and positions (GGA+U); λ = 1.5418 Å (Cu Kα)).

Cell and atoms:
```
data_K3MgMnO4
_chemical_formula_sum 'K6 Mg2 Mn2 O8'
_space_group_name_H-M_alt 'C 1 m 1'
_space_group_IT_number 8
_cell_length_a 7.3540
_cell_length_b 10.3286
_cell_length_c 6.0304
_cell_angle_alpha 90.00
_cell_angle_beta 127.13
_cell_angle_gamma 90.00
loop_
_space_group_symop_operation_xyz
'x,y,z'
'x,-y,z'
'x+1/2,y+1/2,z'
'x+1/2,-y+1/2,z'
loop_
_atom_site_label
_atom_site_type_symbol
_atom_site_fract_x
_atom_site_fract_y
_atom_site_fract_z
K1 K 0.0000 0.0000 0.0000
K2 K 0.0123 0.2816 0.5233
Mg1 Mg 0.2543 0.0000 0.7127
Mn1 Mn 0.1166 0.5000 0.1519
O1 O 0.0332 0.5000 0.7366
O2 O 0.3940 0.1313 0.0309
O3 O 0.4370 0.5000 0.4248
```

Principal peaks in the range 2θ = 5–70°, in order of falling intensity:
2θ 25.3, rel. 100.0, hkl 0 2 1; 2θ 29.8, rel. 93.6, hkl 2 2 -1; 2θ 30.7, rel. 78.1, hkl 2 0 -2; 2θ 17.5, rel. 64.8, hkl 1 1 -1; 2θ 17.2, rel. 53.5, hkl 0 2 0; 2θ 30.1, rel. 50.3, hkl 1 3 -1; 2θ 34.7, rel. 43.6, hkl 0 4 0; 2θ 30.5, rel. 38.6, hkl 2 0 0


Q: Which formula does entry 3 have?
A: KMgMn16O32